# 1
For ZrTe7SeCl6, a GGA-PBE-relaxed structure gives the calculated XRD peak list in this record (Cu Kα, 1.54184 Å).
Neutral-atom scattering factors, no anomalous dispersion.

Peak list (10 most intense, 10° ≤ 2θ ≤ 90°, by angle)
2θ (°)	intensity
10.80	1000
15.87	500
16.71	336
17.61	308
18.83	316
22.35	355
27.03	286
28.15	329
29.43	425
32.08	335

```
data_ZrTe7SeCl6
_chemical_formula_sum 'Zr4 Te28 Se4 Cl24'
_cell_length_a 12.0223
_cell_length_b 12.0681
_cell_length_c 15.7854
_cell_angle_alpha 90.00
_cell_angle_beta 111.76
_cell_angle_gamma 90.00
_symmetry_space_group_name_H-M 'P 1'
_symmetry_Int_Tables_number 1
_symmetry_space_group_name_Hall 'P 1'
loop_
_atom_site_label
_atom_site_type_symbol
_atom_site_fract_x
_atom_site_fract_y
_atom_site_fract_z
Zr1 Zr 0.2062 0.2122 0.1074
Zr2 Zr 0.2062 0.2878 0.6074
Zr3 Zr 0.7938 0.7122 0.3926
Zr4 Zr 0.7938 0.7878 0.8926
Te1 Te 0.1286 0.6428 0.8085
Te2 Te 0.1286 0.8572 0.3085
Te3 Te 0.1389 0.7342 0.1639
Te4 Te 0.1389 0.7658 0.6639
Te5 Te 0.1959 0.6643 0.4493
Te6 Te 0.1959 0.8357 0.9493
Te7 Te 0.2622 0.5007 0.3507
Te8 Te 0.2622 0.9993 0.8507
Te9 Te 0.3546 0.5394 0.8665
Te10 Te 0.3546 0.9606 0.3665
Te11 Te 0.3596 0.5566 0.0440
Te12 Te 0.3596 0.9434 0.5440
Te13 Te 0.3611 0.6456 0.2621
Te14 Te 0.3611 0.8544 0.7621
Te15 Te 0.6389 0.1456 0.2379
Te16 Te 0.6389 0.3544 0.7379
Te17 Te 0.6404 0.0566 0.4560
Te18 Te 0.6404 0.4434 0.9560
Te19 Te 0.6454 0.0394 0.6335
Te20 Te 0.6454 0.4606 0.1335
Te21 Te 0.7378 0.0007 0.1493
Te22 Te 0.7378 0.4993 0.6493
Te23 Te 0.8041 0.1643 0.0507
Te24 Te 0.8041 0.3357 0.5507
Te25 Te 0.8611 0.2342 0.3361
Te26 Te 0.8611 0.2658 0.8361
Te27 Te 0.8714 0.1428 0.6915
Te28 Te 0.8714 0.3572 0.1915
Se1 Se 0.4066 0.7327 0.5427
Se2 Se 0.4066 0.7673 0.0427
Se3 Se 0.5934 0.2327 0.9573
Se4 Se 0.5934 0.2673 0.4573
Cl1 Cl 0.0619 0.1332 0.5595
Cl2 Cl 0.0619 0.3668 0.0595
Cl3 Cl 0.0750 0.1284 0.1832
Cl4 Cl 0.0750 0.3716 0.6832
Cl5 Cl 0.0948 0.1122 0.9608
Cl6 Cl 0.0948 0.3878 0.4608
Cl7 Cl 0.3310 0.1997 0.5309
Cl8 Cl 0.3310 0.3003 0.0309
Cl9 Cl 0.3322 0.1957 0.7530
Cl10 Cl 0.3322 0.3043 0.2530
Cl11 Cl 0.3433 0.0479 0.1546
Cl12 Cl 0.3433 0.4521 0.6546
Cl13 Cl 0.6567 0.5479 0.3454
Cl14 Cl 0.6567 0.9521 0.8454
Cl15 Cl 0.6678 0.6957 0.7470
Cl16 Cl 0.6678 0.8043 0.2470
Cl17 Cl 0.6690 0.6997 0.9691
Cl18 Cl 0.6690 0.8003 0.4691
Cl19 Cl 0.9052 0.6122 0.5392
Cl20 Cl 0.9052 0.8878 0.0392
Cl21 Cl 0.9250 0.6284 0.3168
Cl22 Cl 0.9250 0.8716 0.8168
Cl23 Cl 0.9381 0.6332 0.9405
Cl24 Cl 0.9381 0.8668 0.4405
```

***

# 2
For Pm8YHo6, a GGA-PBE-relaxed structure gives the calculated XRD peak list in this record (Cu Kα, 1.54184 Å).
Neutral-atom scattering factors, no anomalous dispersion.

Peak list (10 most intense, 10° ≤ 2θ ≤ 90°, by angle)
2θ (°)	intensity
25.75	220
28.98	363
29.41	243
32.11	1000
32.96	216
33.34	604
50.77	183
51.34	222
52.92	120
61.87	118

```
data_Pm8YHo6
_chemical_formula_sum 'Pm8 Y1 Ho6'
_cell_length_a 9.4138
_cell_length_b 9.4138
_cell_length_c 6.5460
_cell_angle_alpha 90.00
_cell_angle_beta 90.00
_cell_angle_gamma 120.00
_symmetry_space_group_name_H-M 'P 1'
_symmetry_Int_Tables_number 1
_symmetry_space_group_name_Hall 'P 1'
loop_
_atom_site_label
_atom_site_type_symbol
_atom_site_fract_x
_atom_site_fract_y
_atom_site_fract_z
Pm1 Pm 0.0351 0.7477 0.3355
Pm2 Pm 0.2523 0.2874 0.3355
Pm3 Pm 0.2874 0.0351 0.6645
Pm4 Pm 0.3333 0.6667 0.3801
Pm5 Pm 0.6667 0.3333 0.6199
Pm6 Pm 0.7126 0.9649 0.3355
Pm7 Pm 0.7477 0.7126 0.6645
Pm8 Pm 0.9649 0.2523 0.6645
Y1 Y 0.0000 0.0000 0.0000
Ho1 Ho 0.0932 0.6564 0.8425
Ho2 Ho 0.3436 0.4368 0.8425
Ho3 Ho 0.4368 0.0932 0.1575
Ho4 Ho 0.5632 0.9068 0.8425
Ho5 Ho 0.6564 0.5632 0.1575
Ho6 Ho 0.9068 0.3436 0.1575
```

***

# 3
For Nd3AlNi8, a GGA-PBE-relaxed structure gives the calculated XRD peak list in this record (Cu Kα, 1.54184 Å).
Neutral-atom scattering factors, no anomalous dispersion.

Peak list (10 most intense, 10° ≤ 2θ ≤ 90°, by angle)
2θ (°)	intensity
34.07	925
34.80	570
40.40	221
40.79	504
41.45	1000
43.85	493
61.92	318
66.93	230
68.09	192
73.45	273

```
data_Nd3AlNi8
_chemical_formula_sum 'Nd6 Al2 Ni16'
_cell_length_a 5.1566
_cell_length_b 5.1566
_cell_length_c 16.2880
_cell_angle_alpha 90.00
_cell_angle_beta 90.00
_cell_angle_gamma 120.00
_symmetry_space_group_name_H-M 'P 1'
_symmetry_Int_Tables_number 1
_symmetry_space_group_name_Hall 'P 1'
loop_
_atom_site_label
_atom_site_type_symbol
_atom_site_fract_x
_atom_site_fract_y
_atom_site_fract_z
Nd1 Nd 0.3333 0.6667 0.0456
Nd2 Nd 0.3333 0.6667 0.2500
Nd3 Nd 0.3333 0.6667 0.4544
Nd4 Nd 0.6667 0.3333 0.5456
Nd5 Nd 0.6667 0.3333 0.7500
Nd6 Nd 0.6667 0.3333 0.9544
Al1 Al 0.0000 0.0000 0.0000
Al2 Al 0.0000 0.0000 0.5000
Ni1 Ni 0.0000 0.0000 0.2500
Ni2 Ni 0.0000 0.0000 0.7500
Ni3 Ni 0.1680 0.3360 0.6270
Ni4 Ni 0.1680 0.3360 0.8730
Ni5 Ni 0.1680 0.8320 0.6270
Ni6 Ni 0.1680 0.8320 0.8730
Ni7 Ni 0.3333 0.6667 0.7500
Ni8 Ni 0.3360 0.1680 0.1270
Ni9 Ni 0.3360 0.1680 0.3730
Ni10 Ni 0.6640 0.8320 0.6270
Ni11 Ni 0.6640 0.8320 0.8730
Ni12 Ni 0.6667 0.3333 0.2500
Ni13 Ni 0.8320 0.1680 0.1270
Ni14 Ni 0.8320 0.1680 0.3730
Ni15 Ni 0.8320 0.6640 0.1270
Ni16 Ni 0.8320 0.6640 0.3730
```

***

# 4
For Dy8Er3Zr, a GGA-PBE-relaxed structure gives the calculated XRD peak list in this record (Cu Kα, 1.54184 Å).
Neutral-atom scattering factors, no anomalous dispersion.

Peak list (10 most intense, 10° ≤ 2θ ≤ 90°, by angle)
2θ (°)	intensity
29.40	325
30.04	185
31.86	480
32.51	1000
34.25	796
41.06	171
51.74	370
56.04	232
62.06	426
89.06	168

```
data_Dy8Er3Zr
_chemical_formula_sum 'Dy8 Er3 Zr1'
_cell_length_a 9.3615
_cell_length_b 9.3615
_cell_length_c 9.3615
_cell_angle_alpha 44.36
_cell_angle_beta 44.36
_cell_angle_gamma 44.36
_symmetry_space_group_name_H-M 'P 1'
_symmetry_Int_Tables_number 1
_symmetry_space_group_name_Hall 'P 1'
loop_
_atom_site_label
_atom_site_type_symbol
_atom_site_fract_x
_atom_site_fract_y
_atom_site_fract_z
Dy1 Dy 0.2186 0.7268 0.7268
Dy2 Dy 0.2227 0.2227 0.2227
Dy3 Dy 0.2732 0.2732 0.7814
Dy4 Dy 0.2732 0.7814 0.2732
Dy5 Dy 0.7268 0.2186 0.7268
Dy6 Dy 0.7268 0.7268 0.2186
Dy7 Dy 0.7773 0.7773 0.7773
Dy8 Dy 0.7814 0.2732 0.2732
Er1 Er 0.0000 0.5000 0.5000
Er2 Er 0.5000 0.0000 0.5000
Er3 Er 0.5000 0.5000 0.0000
Zr1 Zr 0.0000 0.0000 0.0000
```